# 1
The following is a calculated XRD peak list of ReO3. It was derived from the PBE geometry in the Materials Project, using Cu Kα (weighted mean of Kα1 and Kα2).
Neutral-atom scattering factors, no anomalous dispersion.

Structural model:
```
ReO3
1.0
3.796 0.000 0.000
0.000 3.796 0.000
0.000 0.000 3.796
Re O
1 3
Direct
0.000 0.000 0.000
0.000 0.000 0.500
0.000 0.500 0.000
0.500 0.000 0.000
```

Peak list (10 most intense, 10° ≤ 2θ ≤ 90°, by angle)
two_theta	Rel. int.
23.43	1000
33.38	558
41.19	141
47.93	192
54.01	407
59.66	225
70.11	116
75.06	189
79.91	101
84.68	68

***

# 2
The following is a calculated XRD peak list of ReO3. It was derived from the PBE geometry in the Materials Project, using Cu Kα (weighted mean of Kα1 and Kα2).
Neutral-atom scattering factors, no anomalous dispersion.

Structural model:
```
ReO3
1.0
-3.775 3.775 3.775
3.775 -3.775 3.775
3.775 3.775 -3.775
Re O
4 12
Direct
0.000 0.000 0.500
0.000 0.500 0.000
0.500 0.000 0.000
0.500 0.500 0.500
0.035 0.767 0.267
0.233 0.267 0.500
0.233 0.733 0.965
0.267 0.035 0.767
0.267 0.500 0.233
0.500 0.233 0.267
0.500 0.767 0.733
0.733 0.500 0.767
0.733 0.965 0.233
0.767 0.267 0.035
0.767 0.733 0.500
0.965 0.233 0.733
```

Peak list (10 most intense, 10° ≤ 2θ ≤ 90°, by angle)
two_theta	Rel. int.
23.56	1000
33.57	562
41.42	146
48.21	188
54.33	406
60.02	233
70.56	112
75.55	187
80.44	101
85.25	73

***

# 3
The following is a calculated XRD peak list of ReO3. It was derived from the PBE geometry in the Materials Project, using Cu Kα (weighted mean of Kα1 and Kα2).
Neutral-atom scattering factors, no anomalous dispersion.

Structural model:
```
ReO3
1.0
5.362 0.000 0.000
0.000 5.362 0.000
0.000 0.000 3.794
Re O
2 6
Direct
0.000 0.000 0.000
0.500 0.500 0.000
0.000 0.000 0.500
0.238 0.262 0.000
0.262 0.762 0.000
0.500 0.500 0.500
0.738 0.238 0.000
0.762 0.738 0.000
```

Peak list (10 most intense, 10° ≤ 2θ ≤ 90°, by angle)
two_theta	Rel. int.
23.46	1000
33.41	558
41.23	142
47.98	191
54.07	406
59.72	226
70.19	115
75.15	189
80.00	101
84.78	69

***

# 4
The following is a calculated XRD peak list of Re2O7. It was derived from the PBE geometry in the Materials Project, using Cu Kα (weighted mean of Kα1 and Kα2).
Neutral-atom scattering factors, no anomalous dispersion.

Structural model:
```
Re2O7
1.0
-3.602 3.602 5.218
3.602 -3.602 5.218
3.602 3.602 -5.218
Re O
4 14
Direct
0.242 0.000 0.242
0.750 0.008 0.258
0.750 0.492 0.742
0.758 0.000 0.758
0.070 0.077 0.368
0.070 0.703 0.993
0.083 0.083 0.000
0.133 0.633 0.500
0.383 0.383 0.000
0.453 0.320 0.493
0.453 0.959 0.132
0.460 0.960 0.500
0.709 0.077 0.007
0.709 0.703 0.632
0.710 0.710 0.000
0.827 0.320 0.868
0.827 0.959 0.507
0.833 0.333 0.500
```

Peak list (10 most intense, 10° ≤ 2θ ≤ 90°, by angle)
two_theta	Rel. int.
14.94	1000
28.49	209
29.00	404
30.15	618
35.24	125
38.07	97
45.92	96
50.04	187
58.96	95
60.11	176

***

# 5
The following is a calculated XRD peak list of ReO3. It was derived from the PBE geometry in the Materials Project, using Cu Kα (weighted mean of Kα1 and Kα2).
Neutral-atom scattering factors, no anomalous dispersion.

Structural model:
```
ReO3
1.0
2.675 1.544 4.388
-2.675 1.544 4.388
0.000 -3.089 4.388
Re O
2 6
Direct
0.000 0.000 0.000
0.500 0.500 0.500
0.223 0.750 0.277
0.250 0.723 0.777
0.277 0.223 0.750
0.723 0.777 0.250
0.750 0.277 0.223
0.777 0.250 0.723
```

Peak list (10 most intense, 10° ≤ 2θ ≤ 90°, by angle)
two_theta	Rel. int.
23.48	1000
33.40	283
33.50	278
41.32	109
48.03	190
54.06	206
54.20	201
59.85	173
75.24	74
75.36	76

***

# 6
The following is a calculated XRD peak list of ReRh2O6. It was derived from the PBE geometry in the Materials Project, using Cu Kα (weighted mean of Kα1 and Kα2).
Neutral-atom scattering factors, no anomalous dispersion.

Structural model:
```
ReRh2O6
1.0
4.616 0.000 0.000
0.000 4.616 0.000
0.000 0.000 9.358
Re Rh O
2 4 12
Direct
0.000 0.000 0.000
0.500 0.500 0.500
0.000 0.000 0.333
0.000 0.000 0.667
0.500 0.500 0.167
0.500 0.500 0.833
0.191 0.191 0.159
0.191 0.191 0.841
0.202 0.202 0.500
0.298 0.702 0.000
0.309 0.691 0.341
0.309 0.691 0.659
0.691 0.309 0.341
0.691 0.309 0.659
0.702 0.298 0.000
0.798 0.798 0.500
0.809 0.809 0.159
0.809 0.809 0.841
```

Peak list (10 most intense, 10° ≤ 2θ ≤ 90°, by angle)
two_theta	Rel. int.
21.46	135
27.32	1000
34.71	835
39.02	239
53.20	656
56.37	156
63.75	151
66.43	157
67.92	189
81.21	135

***

# 7
The following is a calculated XRD peak list of Re2S2O13. It was derived from the PBE geometry in the Materials Project, using Cu Kα (weighted mean of Kα1 and Kα2).
Neutral-atom scattering factors, no anomalous dispersion.

Structural model:
```
Re2S2O13
1.0
8.460 0.000 0.000
0.000 9.790 0.000
0.000 0.000 6.059
Re S O
4 4 26
Direct
0.186 0.099 0.000
0.314 0.599 0.000
0.686 0.401 0.000
0.814 0.901 0.000
0.127 0.816 0.326
0.373 0.316 0.326
0.627 0.684 0.326
0.873 0.184 0.326
0.000 0.000 0.926
0.044 0.151 0.295
0.124 0.249 0.885
0.150 0.679 0.191
0.166 0.795 0.552
0.187 0.534 0.808
0.228 0.919 0.209
0.272 0.419 0.209
0.313 0.034 0.808
0.334 0.295 0.552
0.350 0.179 0.191
0.376 0.749 0.885
0.456 0.651 0.295
0.500 0.500 0.926
0.544 0.349 0.295
0.624 0.251 0.885
0.650 0.821 0.191
0.666 0.705 0.552
0.687 0.966 0.808
0.728 0.581 0.209
0.772 0.081 0.209
0.813 0.466 0.808
0.834 0.205 0.552
0.850 0.321 0.191
0.876 0.751 0.885
0.956 0.849 0.295
```

Peak list (10 most intense, 10° ≤ 2θ ≤ 90°, by angle)
two_theta	Rel. int.
13.83	353
14.62	835
20.18	140
20.98	624
25.66	1000
27.28	299
36.32	147
36.46	327
44.88	172
60.44	126